# Cs2Ag2As2S5
Calculated XRD peak list, Cu Kα X-rays. Input: the GGA-PBE geometry in OQMD.
Kinematic intensities with the Lorentz-polarization factor, no thermal factor.

Most intense lines, 15° ≤ 2θ ≤ 90°, low angle first:
d = 3.946 Å, I 51, hkl -1 2 1; d = 3.795 Å, I 53, hkl 2 0 0; d = 3.635 Å, I 42, hkl 1 2 0; d = 3.369 Å, I 100, hkl 0 1 -2; d = 3.214 Å, I 53, hkl 1 1 3; d = 2.903 Å, I 41, hkl -1 1 3; d = 2.763 Å, I 69, hkl 0 3 3; d = 2.677 Å, I 48, hkl -2 2 2

Structure:
a = 7.666 Å, b = 9.454 Å, c = 10.133 Å
α = 63.03°, β = 82.22°, γ = 88.10°
Space group P-1 (No. 2)
Inequivalent atoms, fractional coordinates:
Cs  0.239  0.052  0.069 (multiplicity 2)
Cs  0.252  0.649  0.840 (multiplicity 2)
Ag  0.093  0.256  0.622 (multiplicity 2)
Ag  0.292  0.084  0.445 (multiplicity 2)
As  0.194  0.487  0.315 (multiplicity 2)
As  0.442  0.709  0.426 (multiplicity 2)
S  0.009  0.355  0.816 (multiplicity 2)
S  0.183  0.825  0.455 (multiplicity 2)
S  0.269  0.330  0.205 (multiplicity 2)
S  0.365  0.077  0.684 (multiplicity 2)
S  0.438  0.670  0.215 (multiplicity 2)